Record 1
This entry pairs a crystal structure of LiNi2H with its calculated X-ray diffraction stick pattern. Radiation: λ = 1.5418 Å (Cu Kα). Structure: a structure optimized by DFT (GGA-PBE).

Peak list (6 most intense, 2θ = 5–70°, low angle first)
| d [Å] | Position (°2θ) | intensity |
| --- | --- | --- |
| 4.119 | 21.58 | 100.0 |
| 2.151 | 42.01 | 59.1 |
| 2.059 | 43.97 | 63.2 |
| 1.783 | 51.22 | 26.7 |
| 1.637 | 56.21 | 19.7 |
| 1.373 | 68.32 | 16.9 |

abc: 5.0465 5.0465 7.1276
angles: 90.00 90.00 90.00
Fractional coordinates of all 16 atoms:
Li  0.0000  0.2500  0.3750
Li  0.0000  0.7500  0.6250
Li  0.5000  0.2500  0.1250
Li  0.5000  0.7500  0.8750
Ni  0.0000  0.0000  0.0000
Ni  0.0000  0.5000  0.0000
Ni  0.2500  0.2500  0.7500
Ni  0.2500  0.7500  0.2500
Ni  0.5000  0.0000  0.5000
Ni  0.5000  0.5000  0.5000
Ni  0.7500  0.2500  0.7500
Ni  0.7500  0.7500  0.2500
H  0.0000  0.2500  0.8750
H  0.0000  0.7500  0.1250
H  0.5000  0.2500  0.6250
H  0.5000  0.7500  0.3750



Record 2
This entry pairs a crystal structure of Li3Ni4H8 with its calculated X-ray diffraction stick pattern. Radiation: λ = 1.5418 Å (Cu Kα). Structure: a structure optimized by DFT (GGA-PBE).

Peak list (10 most intense, 2θ = 5–70°, low angle first)
| d [Å] | Position (°2θ) | intensity |
| --- | --- | --- |
| 4.336 | 20.48 | 100.0 |
| 3.734 | 23.83 | 61.1 |
| 2.632 | 34.06 | 48.0 |
| 2.245 | 40.16 | 16.2 |
| 2.237 | 40.33 | 31.9 |
| 2.168 | 41.66 | 66.5 |
| 2.135 | 42.33 | 63.2 |
| 1.867 | 48.78 | 46.4 |
| 1.856 | 49.09 | 22.7 |
| 1.702 | 53.86 | 12.7 |

abc: 5.2650 5.2650 5.2212
angles: 119.71 119.71 89.65
Fractional coordinates of all 15 atoms:
Li  0.0000  0.0000  0.0000
Li  0.0000  0.5000  0.0000
Li  0.5000  0.0000  0.0000
Ni  0.0000  0.5000  0.5000
Ni  0.5000  0.0000  0.5000
Ni  0.5000  0.5000  0.0000
Ni  0.5000  0.5000  0.5000
H  0.2655  0.7345  0.0000
H  0.2693  0.7307  0.5000
H  0.2726  0.2726  0.5327
H  0.3044  0.3044  0.0565
H  0.6956  0.6956  0.9435
H  0.7274  0.7274  0.4673
H  0.7307  0.2693  0.5000
H  0.7345  0.2655  0.0000



Record 3
This entry pairs a crystal structure of LiNi4H4 with its calculated X-ray diffraction stick pattern. Radiation: λ = 1.5418 Å (Cu Kα). Structure: a structure optimized by DFT (GGA-PBE).

Peak list (10 most intense, 2θ = 5–70°, low angle first)
| d [Å] | Position (°2θ) | intensity |
| --- | --- | --- |
| 4.203 | 21.14 | 19.4 |
| 3.088 | 28.91 | 10.5 |
| 2.972 | 30.07 | 7.8 |
| 2.141 | 42.20 | 100.0 |
| 1.880 | 48.42 | 32.8 |
| 1.807 | 50.51 | 14.2 |
| 1.737 | 52.68 | 1.9 |
| 1.660 | 55.34 | 2.5 |
| 1.544 | 59.91 | 1.9 |
| 1.500 | 61.85 | 3.2 |

abc: 4.5754 4.5754 4.5754
angles: 98.97 98.97 133.48
Fractional coordinates of all 9 atoms:
Li  0.0000  0.0000  0.0000
Ni  0.1944  0.6060  0.8005
Ni  0.3940  0.1944  0.5884
Ni  0.6060  0.8056  0.4116
Ni  0.8056  0.3940  0.1995
H  0.1277  0.3173  0.4451
H  0.3173  0.8723  0.1896
H  0.6827  0.1277  0.8104
H  0.8723  0.6827  0.5549



Record 4
This entry pairs a crystal structure of Li2Ni2H3 with its calculated X-ray diffraction stick pattern. Radiation: λ = 1.5418 Å (Cu Kα). Structure: a structure optimized by DFT (GGA-PBE).

Peak list (10 most intense, 2θ = 5–70°, low angle first)
| d [Å] | Position (°2θ) | intensity |
| --- | --- | --- |
| 4.738 | 18.73 | 100.0 |
| 3.411 | 26.13 | 33.7 |
| 3.070 | 29.08 | 25.2 |
| 2.462 | 36.49 | 28.7 |
| 2.204 | 40.96 | 28.6 |
| 2.185 | 41.33 | 27.5 |
| 2.159 | 41.84 | 53.1 |
| 2.001 | 45.32 | 22.8 |
| 1.932 | 47.04 | 15.1 |
| 1.834 | 49.72 | 34.3 |

abc: 2.5642 4.6118 4.7647
angles: 84.19 89.94 73.93
Fractional coordinates of all 7 atoms:
Li  0.1186  0.2618  0.3720
Li  0.8814  0.7382  0.6280
Ni  0.3737  0.7518  0.1155
Ni  0.6263  0.2482  0.8845
H  0.0000  0.5000  0.0000
H  0.2222  0.0559  0.7685
H  0.7778  0.9441  0.2315